Record 1
# Ni8Sn2Sb
Computed powder XRD pattern, a wavelength of 1.5418 Å. Input: a structure optimized by DFT (GGA-PBE).
Intensities are scaled so that the largest is 100.

The 6 most intense peaks (2θ = 10–90°), in order of rising 2θ:
(hkl)	2θ/deg	intensity
1 2 3	42.28	100
2 0 0	49.00	17
0 4 0	49.33	30
2 4 0	72.08	19
3 2 3	87.03	12
1 6 3	87.52	20

Structural model:
```
data_Ni8Sn2Sb
_space_group_name_H-M_alt 'I m m m'
_space_group_IT_number 71
_space_group_name_Hall '-I 2 2'
_cell_length_a 3.718
_cell_length_b 7.391
_cell_length_c 11.080
_cell_angle_alpha 90.00
_cell_angle_beta 90.00
_cell_angle_gamma 90.00
loop_
_atom_site_label
_atom_site_fract_x
_atom_site_fract_y
_atom_site_fract_z
Ni1 0.000 0.000 0.176
Ni2 0.000 0.237 0.000
Ni3 0.000 0.255 0.331
Sn1 0.000 0.500 0.151
Sb1 0.000 0.500 0.500
```

---

Record 2
# LaReW3
Computed powder XRD pattern, a wavelength of 1.5418 Å. Input: a structure optimized by DFT (GGA-PBE).
Intensities are scaled so that the largest is 100.

The 6 most intense peaks (2θ = 10–90°), in order of rising 2θ:
(hkl)	2θ/deg	intensity
1 0 0	18.20	40
1 1 1	31.80	65
2 0 0	36.88	100
2 2 0	53.15	71
3 1 1	63.28	28
2 2 2	66.44	24

Structural model:
```
data_LaReW3
_space_group_name_H-M_alt 'P m -3 m'
_space_group_IT_number 221
_space_group_name_Hall '-P 4 2 3'
_cell_length_a 4.874
_cell_length_b 4.874
_cell_length_c 4.874
_cell_angle_alpha 90.00
_cell_angle_beta 90.00
_cell_angle_gamma 90.00
loop_
_atom_site_label
_atom_site_fract_x
_atom_site_fract_y
_atom_site_fract_z
La1 0.000 0.000 0.000
Re1 0.500 0.500 0.500
W1 0.000 0.500 0.500
```

---

Record 3
# Zr3SnHg2
Computed powder XRD pattern, a wavelength of 1.5418 Å. Input: a structure optimized by DFT (GGA-PBE).
Intensities are scaled so that the largest is 100.

The 6 most intense peaks (2θ = 10–90°), in order of rising 2θ:
(hkl)	2θ/deg	intensity
1 3 1	35.07	100
2 0 0	39.93	18
0 6 0	40.11	17
0 0 2	42.07	15
3 3 1	69.38	14
1 9 1	69.63	14

Structural model:
```
data_Zr3SnHg2
_space_group_name_H-M_alt 'C m m m'
_space_group_IT_number 65
_space_group_name_Hall '-C 2 2'
_cell_length_a 4.516
_cell_length_b 13.487
_cell_length_c 4.295
_cell_angle_alpha 90.00
_cell_angle_beta 90.00
_cell_angle_gamma 90.00
loop_
_atom_site_label
_atom_site_fract_x
_atom_site_fract_y
_atom_site_fract_z
Zr1 0.000 0.000 0.000
Zr2 0.000 0.333 0.000
Sn1 0.000 0.500 0.500
Hg1 0.000 0.169 0.500
```

---

Record 4
# Sr
Computed powder XRD pattern, a wavelength of 1.5418 Å. Input: a structure optimized by DFT (GGA-PBE).
Intensities are scaled so that the largest is 100.

The 6 most intense peaks (2θ = 10–90°), in order of rising 2θ:
(hkl)	2θ/deg	intensity
2 0 0	22.01	24
0 0 2	24.89	30
2 1 1	27.67	100
2 0 2	33.46	17
2 1 3	45.58	25
4 1 1	48.16	26

Structural model:
```
data_Sr
_space_group_name_H-M_alt 'I 4/m c m'
_space_group_IT_number 140
_space_group_name_Hall '-I 4 2c'
_cell_length_a 8.077
_cell_length_b 8.077
_cell_length_c 7.154
_cell_angle_alpha 90.00
_cell_angle_beta 90.00
_cell_angle_gamma 90.00
loop_
_atom_site_label
_atom_site_fract_x
_atom_site_fract_y
_atom_site_fract_z
Sr1 0.171 0.329 0.000
```

---

Record 5
# Fe2CoIr
Computed powder XRD pattern, a wavelength of 1.5418 Å. Input: a structure optimized by DFT (GGA-PBE).
Intensities are scaled so that the largest is 100.

The 6 most intense peaks (2θ = 10–90°), in order of rising 2θ:
(hkl)	2θ/deg	intensity
0 0 1	14.92	32
1 0 0	30.62	17
1 0 1	34.22	29
1 0 2	43.48	100
1 1 0	43.85	50
2 1 2	80.33	31

Structural model:
```
data_Fe2CoIr
_space_group_name_H-M_alt 'P 4/m m m'
_space_group_IT_number 123
_space_group_name_Hall '-P 4 2'
_cell_length_a 2.920
_cell_length_b 2.920
_cell_length_c 5.936
_cell_angle_alpha 90.00
_cell_angle_beta 90.00
_cell_angle_gamma 90.00
loop_
_atom_site_label
_atom_site_fract_x
_atom_site_fract_y
_atom_site_fract_z
Fe1 0.000 0.000 0.231
Co1 0.500 0.500 0.000
Ir1 0.500 0.500 0.500
```

---

Record 6
# Ac8Pd3Ru2
Computed powder XRD pattern, a wavelength of 1.5418 Å. Input: a structure optimized by DFT (GGA-PBE).
Intensities are scaled so that the largest is 100.

The 6 most intense peaks (2θ = 10–90°), in order of rising 2θ:
(hkl)	2θ/deg	intensity
4 0 0	24.77	21
2 2 -1	24.98	41
2 2 1	29.00	100
4 0 -2	29.37	48
0 4 0	41.03	59
2 2 -3	42.45	35

Structural model:
```
data_Ac8Pd3Ru2
_space_group_name_H-M_alt 'C 1 2/m 1'
_space_group_IT_number 12
_space_group_name_Hall '-C 2y'
_cell_length_a 15.239
_cell_length_b 8.800
_cell_length_c 7.300
_cell_angle_alpha 90.00
_cell_angle_beta 109.37
_cell_angle_gamma 90.00
loop_
_atom_site_label
_atom_site_fract_x
_atom_site_fract_y
_atom_site_fract_z
Ac1 0.125 0.000 0.240
Ac2 0.129 0.500 0.229
Ac3 0.134 0.243 0.763
Pd1 0.000 0.000 0.500
Pd2 0.000 0.252 0.000
Ru1 0.246 0.500 0.988
```

---

Record 7
# Al11V9Cr4
Computed powder XRD pattern, a wavelength of 1.5418 Å. Input: a structure optimized by DFT (GGA-PBE).
Intensities are scaled so that the largest is 100.

The 6 most intense peaks (2θ = 10–90°), in order of rising 2θ:
(hkl)	2θ/deg	intensity
4 6 0	39.07	42
1 5 1	41.18	74
5 5 0	42.69	100
0 6 1	43.04	47
0 10 0	43.15	64
4 0 1	45.42	53

Structural model:
```
data_Al11V9Cr4
_space_group_name_H-M_alt 'C m m m'
_space_group_IT_number 65
_space_group_name_Hall '-C 2 2'
_cell_length_a 12.271
_cell_length_b 20.965
_cell_length_c 2.630
_cell_angle_alpha 90.00
_cell_angle_beta 90.00
_cell_angle_gamma 90.00
loop_
_atom_site_label
_atom_site_fract_x
_atom_site_fract_y
_atom_site_fract_z
Al1 0.000 0.000 0.000
Al2 0.000 0.187 0.000
Al3 0.000 0.387 0.000
Al4 0.211 0.190 0.000
Al5 0.242 0.500 0.000
V1 0.000 0.500 0.500
V2 0.100 0.288 0.500
V3 0.113 0.090 0.500
Cr1 0.184 0.397 0.500
```

---

Record 8
# Ac5Pa2O12
Computed powder XRD pattern, a wavelength of 1.5418 Å. Input: a structure optimized by DFT (GGA-PBE).
Intensities are scaled so that the largest is 100.

The 6 most intense peaks (2θ = 10–90°), in order of rising 2θ:
(hkl)	2θ/deg	intensity
3 1 0	24.36	90
1 1 -2	25.60	100
0 2 1	28.86	32
2 2 0	29.83	37
2 0 2	30.11	80
4 2 2	49.53	34

Structural model:
```
data_Ac5Pa2O12
_space_group_name_H-M_alt 'C 1 2/m 1'
_space_group_IT_number 12
_space_group_name_Hall '-C 2y'
_cell_length_a 13.645
_cell_length_b 6.746
_cell_length_c 8.124
_cell_angle_alpha 90.00
_cell_angle_beta 107.15
_cell_angle_gamma 90.00
loop_
_atom_site_label
_atom_site_fract_x
_atom_site_fract_y
_atom_site_fract_z
Ac1 0.000 0.000 0.000
Ac2 0.198 0.500 0.331
Ac3 0.200 0.500 0.865
Pa1 0.000 0.242 0.500
O1 0.002 0.000 0.690
O2 0.003 0.500 0.323
O3 0.156 0.249 0.077
O4 0.165 0.271 0.583
```

---

Record 9
# CsInSi
Computed powder XRD pattern, a wavelength of 1.5418 Å. Input: a structure optimized by DFT (GGA-PBE).
Intensities are scaled so that the largest is 100.

The 6 most intense peaks (2θ = 10–90°), in order of rising 2θ:
(hkl)	2θ/deg	intensity
2 0 1	18.47	23
2 0 -2	20.82	45
4 0 0	26.09	25
1 1 1	26.71	53
3 1 -1	30.28	100
0 0 3	30.48	39

Structural model:
```
data_CsInSi
_space_group_name_H-M_alt 'C 1 m 1'
_space_group_IT_number 8
_space_group_name_Hall 'C -2y'
_cell_length_a 14.193
_cell_length_b 3.862
_cell_length_c 9.153
_cell_angle_alpha 90.00
_cell_angle_beta 105.75
_cell_angle_gamma 90.00
loop_
_atom_site_label
_atom_site_fract_x
_atom_site_fract_y
_atom_site_fract_z
Cs1 0.000 0.000 0.000
Cs2 0.175 0.000 0.632
In1 0.243 0.500 0.246
In2 0.449 0.000 0.336
Si1 0.371 0.500 0.529
Si2 0.456 0.000 0.647
```

---

Record 10
# Dy3Ho2Tm9
Computed powder XRD pattern, a wavelength of 1.5418 Å. Input: a structure optimized by DFT (GGA-PBE).
Intensities are scaled so that the largest is 100.

The 6 most intense peaks (2θ = 10–90°), in order of rising 2θ:
(hkl)	2θ/deg	intensity
2 -1 0	31.81	70
0 3 1	31.87	25
1 1 3	32.23	100
1 -2 2	33.75	28
-1 2 2	33.98	24
2 2 1	35.20	37

Structural model:
```
data_Dy3Ho2Tm9
_space_group_name_H-M_alt 'P 1'
_space_group_IT_number 1
_space_group_name_Hall 'P 1'
_cell_length_a 6.157
_cell_length_b 8.561
_cell_length_c 8.668
_cell_angle_alpha 80.17
_cell_angle_beta 75.58
_cell_angle_gamma 87.51
loop_
_atom_site_label
_atom_site_fract_x
_atom_site_fract_y
_atom_site_fract_z
Dy1 0.000 0.000 0.000
Dy2 0.170 0.331 0.194
Dy3 0.694 0.582 0.645
Ho1 0.343 0.923 0.633
Ho2 0.471 0.003 0.230
Tm1 0.029 0.268 0.636
Tm2 0.138 0.570 0.830
Tm3 0.279 0.629 0.416
Tm4 0.460 0.205 0.828
Tm5 0.466 0.735 0.998
Tm6 0.596 0.296 0.426
Tm7 0.726 0.360 0.028
Tm8 0.850 0.653 0.225
Tm9 0.912 0.958 0.428
```

---

Record 11
# YZn2Co2Ge
Computed powder XRD pattern, a wavelength of 1.5418 Å. Input: a structure optimized by DFT (GGA-PBE).
Intensities are scaled so that the largest is 100.

The 6 most intense peaks (2θ = 10–90°), in order of rising 2θ:
(hkl)	2θ/deg	intensity
1 1 0	29.09	38
1 1 1	33.33	36
1 0 2	38.42	100
2 0 0	41.60	79
2 1 2	57.91	58
2 2 0	60.29	25

Structural model:
```
data_YZn2Co2Ge
_space_group_name_H-M_alt 'P 4/m m m'
_space_group_IT_number 123
_space_group_name_Hall '-P 4 2'
_cell_length_a 4.342
_cell_length_b 4.342
_cell_length_c 5.566
_cell_angle_alpha 90.00
_cell_angle_beta 90.00
_cell_angle_gamma 90.00
loop_
_atom_site_label
_atom_site_fract_x
_atom_site_fract_y
_atom_site_fract_z
Y1 0.000 0.000 0.000
Zn1 0.500 0.500 0.237
Co1 0.000 0.500 0.500
Ge1 0.000 0.000 0.500
```

---

Record 12
# Ba2La2Ti2Cu2O11
Computed powder XRD pattern, a wavelength of 1.5418 Å. Input: a structure optimized by DFT (GGA-PBE).
Intensities are scaled so that the largest is 100.

The 6 most intense peaks (2θ = 10–90°), in order of rising 2θ:
(hkl)	2θ/deg	intensity
1 0 4	31.70	100
1 1 0	32.00	48
1 1 4	39.20	26
2 0 0	45.88	32
1 1 8	56.29	16
2 1 4	56.84	37

Structural model:
```
data_Ba2La2Ti2Cu2O11
_space_group_name_H-M_alt 'P 4/m m m'
_space_group_IT_number 123
_space_group_name_Hall '-P 4 2'
_cell_length_a 3.956
_cell_length_b 3.956
_cell_length_c 16.112
_cell_angle_alpha 90.00
_cell_angle_beta 90.00
_cell_angle_gamma 90.00
loop_
_atom_site_label
_atom_site_fract_x
_atom_site_fract_y
_atom_site_fract_z
Ba1 0.000 0.000 0.235
La1 0.000 0.000 0.000
La2 0.000 0.000 0.500
Ti1 0.500 0.500 0.374
Cu1 0.500 0.500 0.109
O1 0.000 0.500 0.098
O2 0.000 0.500 0.386
O3 0.500 0.500 0.258
O4 0.500 0.500 0.500
```

---

Record 13
# Ti7Au2N2
Computed powder XRD pattern, a wavelength of 1.5418 Å. Input: a structure optimized by DFT (GGA-PBE).
Intensities are scaled so that the largest is 100.

The 6 most intense peaks (2θ = 10–90°), in order of rising 2θ:
(hkl)	2θ/deg	intensity
0 0 1	15.18	71
2 0 1	25.61	100
0 2 1	31.06	56
2 0 2	37.15	68
2 2 1	37.51	71
2 2 -2	46.48	79

Structural model:
```
data_Ti7Au2N2
_space_group_name_H-M_alt 'C 1 2/m 1'
_space_group_IT_number 12
_space_group_name_Hall '-C 2y'
_cell_length_a 8.663
_cell_length_b 6.619
_cell_length_c 5.837
_cell_angle_alpha 90.00
_cell_angle_beta 90.07
_cell_angle_gamma 90.00
loop_
_atom_site_label
_atom_site_fract_x
_atom_site_fract_y
_atom_site_fract_z
Ti1 0.000 0.000 0.000
Ti2 0.000 0.500 0.213
Ti3 0.250 0.250 0.224
Au1 0.000 0.194 0.500
N1 0.233 0.500 0.000
```